[1]
Theoretical powder diffraction line list
Compound: CsTiAg2I6
Radiation: Cu Kα X-rays
Structure: a DFT-relaxed cell (GGA-PBE, Alexandria)

Most intense lines, 2θ = 10–90°, by intensity:
12.20 deg, 7.255 Å, intensity 100
25.48 deg, 3.495 Å, intensity 55
27.86 deg, 3.202 Å, intensity 55
26.86 deg, 3.319 Å, intensity 53
25.35 deg, 3.513 Å, intensity 47
24.53 deg, 3.629 Å, intensity 47
16.23 deg, 5.462 Å, intensity 45
20.87 deg, 4.256 Å, intensity 45
25.09 deg, 3.549 Å, intensity 43
38.60 deg, 2.333 Å, intensity 39

Structural model:
```
data_CsTiAg2I6
_cell_length_a 15.969
_cell_length_b 14.476
_cell_length_c 9.160
_cell_angle_alpha 90.00
_cell_angle_beta 114.64
_cell_angle_gamma 90.00
_symmetry_space_group_name_H-M 'C 1 2/c 1'
_symmetry_Int_Tables_number 15
loop_
_symmetry_equiv_pos_as_xyz
'x,y,z'
'-x,-y,-z'
'-x,y,-z+1/2'
'x,-y,z+1/2'
'x+1/2,y+1/2,z'
'-x+1/2,-y+1/2,-z'
'-x+1/2,y+1/2,-z+1/2'
'x+1/2,-y+1/2,z+1/2'
loop_
_atom_site_label
_atom_site_type_symbol
_atom_site_fract_x
_atom_site_fract_y
_atom_site_fract_z
Cs1 Cs 0.000 0.169 0.250
Ti1 Ti 0.000 0.180 0.750
Ag1 Ag 0.068 0.450 0.132
I1 I 0.115 0.074 0.685
I2 I 0.116 0.279 0.996
I3 I 0.133 0.419 0.468
```



[2]
Theoretical powder diffraction line list
Compound: Cs2TiAgI6
Radiation: Cu Kα X-rays
Structure: a DFT-relaxed cell (GGA-PBE, Alexandria)

Most intense lines, 2θ = 10–90°, by intensity:
26.89 deg, 3.316 Å, intensity 100
28.88 deg, 3.092 Å, intensity 73
43.41 deg, 2.085 Å, intensity 50
32.74 deg, 2.735 Å, intensity 43
44.51 deg, 2.035 Å, intensity 35
25.51 deg, 3.491 Å, intensity 35
51.03 deg, 1.790 Å, intensity 30
70.34 deg, 1.338 Å, intensity 18
12.97 deg, 6.827 Å, intensity 16
51.80 deg, 1.765 Å, intensity 16

Structural model:
```
data_Cs2TiAgI6
_cell_length_a 8.3383
_cell_length_b 8.3383
_cell_length_c 41.8950
_cell_angle_alpha 90.00
_cell_angle_beta 90.00
_cell_angle_gamma 120.00
_symmetry_space_group_name_H-M 'R -3 m'
_symmetry_Int_Tables_number 166
_symmetry_space_group_name_Hall '-R 3 2"'
loop_
_atom_site_label
_atom_site_type_symbol
_atom_site_fract_x
_atom_site_fract_y
_atom_site_fract_z
Cs1 Cs 0.0000 0.0000 0.1188
Cs2 Cs 0.0000 0.0000 0.2949
Ti1 Ti 0.0000 0.0000 0.4167
Ag1 Ag 0.0000 0.0000 0.0000
Ag2 Ag 0.0000 0.0000 0.5000
I1 I 0.0081 0.5040 0.1207
I2 I 0.0125 0.5062 0.2908
```



[3]
Theoretical powder diffraction line list
Compound: CsTlAg2I4
Radiation: Cu Kα X-rays
Structure: a DFT-relaxed cell (GGA-PBE, Alexandria)

Most intense lines, 2θ = 10–90°, by intensity:
23.63 deg, 3.765 Å, intensity 100
28.56 deg, 3.125 Å, intensity 94
28.23 deg, 3.162 Å, intensity 43
13.44 deg, 6.586 Å, intensity 37
27.08 deg, 3.293 Å, intensity 36
40.89 deg, 2.207 Å, intensity 34
23.93 deg, 3.719 Å, intensity 33
38.26 deg, 2.352 Å, intensity 21
36.51 deg, 2.461 Å, intensity 20
42.44 deg, 2.130 Å, intensity 18

Structural model:
```
data_CsTlAg2I4
_cell_length_a 8.520
_cell_length_b 9.197
_cell_length_c 9.435
_cell_angle_alpha 90.00
_cell_angle_beta 90.00
_cell_angle_gamma 90.00
_symmetry_space_group_name_H-M 'I 2 2 2'
_symmetry_Int_Tables_number 23
loop_
_symmetry_equiv_pos_as_xyz
'x,y,z'
'-x,-y,z'
'x,-y,-z'
'-x,y,-z'
'x+1/2,y+1/2,z+1/2'
'-x+1/2,-y+1/2,z+1/2'
'x+1/2,-y+1/2,-z+1/2'
'-x+1/2,y+1/2,-z+1/2'
loop_
_atom_site_label
_atom_site_type_symbol
_atom_site_fract_x
_atom_site_fract_y
_atom_site_fract_z
Cs1 Cs 0.000 0.000 0.000
Tl1 Tl 0.000 0.000 0.500
Ag1 Ag 0.000 0.500 0.163
I1 I 0.229 0.306 0.801
```



[4]
Theoretical powder diffraction line list
Compound: CsTm2AgI8
Radiation: Cu Kα X-rays
Structure: a DFT-relaxed cell (GGA-PBE, Alexandria)

Most intense lines, 2θ = 10–90°, by intensity:
24.18 deg, 3.681 Å, intensity 100
40.00 deg, 2.254 Å, intensity 93
47.29 deg, 1.922 Å, intensity 47
27.99 deg, 3.188 Å, intensity 43
16.93 deg, 5.238 Å, intensity 31
72.65 deg, 1.301 Å, intensity 29
63.62 deg, 1.463 Å, intensity 18
22.77 deg, 3.905 Å, intensity 17
57.85 deg, 1.594 Å, intensity 15
28.51 deg, 3.131 Å, intensity 15

Structural model:
```
data_CsTm2AgI8
_cell_length_a 7.8091
_cell_length_b 7.8091
_cell_length_c 33.1239
_cell_angle_alpha 90.00
_cell_angle_beta 90.00
_cell_angle_gamma 120.00
_symmetry_space_group_name_H-M 'R -3'
_symmetry_Int_Tables_number 148
_symmetry_space_group_name_Hall '-R 3'
loop_
_atom_site_label
_atom_site_type_symbol
_atom_site_fract_x
_atom_site_fract_y
_atom_site_fract_z
Cs1 Cs 0.0000 0.0000 0.0000
Tm1 Tm 0.0000 0.0000 0.2429
Ag1 Ag 0.0000 0.0000 0.5000
I1 I 0.0000 0.0000 0.3284
I2 I 0.0018 0.3555 0.2215
```